No. 1
Starting from a crystal structure in Alexandria, relaxed with PBE, the X-ray diffraction stick pattern of Ho2CuGe4O12 was simulated for Cu Kα.
Kinematic intensities with the Lorentz-polarization factor, no thermal factor.

Top 10 peaks for 5° ≤ 2θ ≤ 70°, in order of rising 2θ:
2θ/deg, intensity
12.10, 40
21.54, 34
22.40, 23
25.22, 47
27.68, 100
29.97, 43
31.23, 60
34.47, 31
34.64, 22
36.19, 21

Cell and atoms:
Lattice parameters (Å, degrees): 4.9913 7.2596 7.9918 66.36 86.88 76.77
Space group P-1 (No. 2)
Unique sites:
Ho  0.0460  0.2698  0.4509 [2 per cell]
Cu  0.0000  0.5000  0.0000 [1 per cell]
Ge  0.4169  0.8835  0.7959 [2 per cell]
Ge  0.4599  0.6680  0.2257 [2 per cell]
O  0.2038  0.9248  0.6121 [2 per cell]
O  0.2247  0.5668  0.3895 [2 per cell]
O  0.2473  0.5072  0.7962 [2 per cell]
O  0.2586  0.2780  0.1940 [2 per cell]
O  0.2674  0.8130  0.0127 [2 per cell]
O  0.4172  0.1575  0.7049 [2 per cell]



No. 2
Starting from a crystal structure in Alexandria, relaxed with PBE, the X-ray diffraction stick pattern of HoCuGe2Pd was simulated for Cu Kα.
Kinematic intensities with the Lorentz-polarization factor, no thermal factor.

Top 10 peaks for 5° ≤ 2θ ≤ 70°, in order of rising 2θ:
2θ/deg, intensity
23.17, 9
30.62, 10
33.73, 58
35.24, 100
43.85, 52
48.98, 27
56.44, 27
62.22, 13
63.75, 17
67.82, 20

Cell and atoms:
Lattice parameters (Å, degrees): 4.1291 4.1291 10.4146 90.00 90.00 90.00
Space group I-4m2 (No. 119)
Unique sites:
Ho  0.0000  0.0000  0.0000 [2 per cell]
Cu  0.0000  0.5000  0.7500 [2 per cell]
Ge  0.0000  0.0000  0.3829 [4 per cell]
Pd  0.0000  0.5000  0.2500 [2 per cell]